# Tm2NpP3
Computed X-ray diffraction stick pattern, λ = 1.5418 Å (Cu Kα). Input: a PBE-relaxed structure.

Structure:
Cell lengths 3.950, 3.950, 16.715 Å; angles 90.00, 90.00, 90.00 degrees
Positions (direct):
Tm (0.000, 0.000, 0.168)
Tm (0.000, 0.000, 0.832)
Tm (0.500, 0.500, 0.332)
Tm (0.500, 0.500, 0.668)
Np (0.000, 0.000, 0.500)
Np (0.500, 0.500, 0.000)
P (0.000, 0.000, 0.000)
P (0.000, 0.000, 0.334)
P (0.000, 0.000, 0.666)
P (0.500, 0.500, 0.166)
P (0.500, 0.500, 0.500)
P (0.500, 0.500, 0.834)

Peak list (12 most intense, 2θ = 10–90°, by angle)
d/Å, 2θ/deg, intensity
3.222, 27.7, 99
2.791, 32.1, 100
1.973, 46.0, 74
1.684, 54.5, 32
1.681, 54.6, 16
1.611, 57.2, 26
1.397, 67.0, 8
1.280, 74.0, 20
1.249, 76.2, 22
1.246, 76.4, 11
1.140, 85.1, 17
1.138, 85.3, 9

---

# CaTa2Bi2O9
Computed X-ray diffraction stick pattern, λ = 1.5418 Å (Cu Kα). Input: a PBE-relaxed structure.

Structure:
Cell lengths 3.921, 3.968, 13.049 Å; angles 86.96, 82.03, 90.00 degrees
Positions (direct):
Ca (0.000, 0.000, 0.000)
Ta (0.423, 0.462, 0.161)
Ta (0.577, 0.538, 0.839)
Bi (0.220, 0.271, 0.599)
Bi (0.780, 0.729, 0.401)
O (0.067, 0.517, 0.856)
O (0.252, 0.749, 0.505)
O (0.361, 0.459, 0.309)
O (0.434, 0.976, 0.141)
O (0.500, 0.500, 0.000)
O (0.566, 0.024, 0.859)
O (0.639, 0.541, 0.691)
O (0.748, 0.251, 0.495)
O (0.933, 0.483, 0.144)

Peak list (12 most intense, 2θ = 10–90°, by angle)
d/Å, 2θ/deg, intensity
3.962, 22.4, 42
3.299, 27.0, 65
3.226, 27.7, 40
3.140, 28.4, 72
3.105, 28.8, 71
2.995, 29.8, 62
2.782, 32.2, 100
2.581, 34.8, 22
1.973, 46.0, 27
1.961, 46.3, 33
1.837, 49.6, 20
1.770, 51.6, 19

---

# LaGd2I
Computed X-ray diffraction stick pattern, λ = 1.5418 Å (Cu Kα). Input: a PBE-relaxed structure.

Structure:
Cell lengths 3.806, 3.806, 32.080 Å; angles 90.00, 90.00, 120.00 degrees
Positions (direct):
La (0.000, 0.000, 0.000)
La (0.333, 0.667, 0.667)
La (0.667, 0.333, 0.333)
Gd (0.000, 0.000, 0.244)
Gd (0.000, 0.000, 0.756)
Gd (0.333, 0.667, 0.423)
Gd (0.333, 0.667, 0.911)
Gd (0.667, 0.333, 0.089)
Gd (0.667, 0.333, 0.577)
I (0.000, 0.000, 0.500)
I (0.333, 0.667, 0.167)
I (0.667, 0.333, 0.833)

Peak list (12 most intense, 2θ = 10–90°, by angle)
d/Å, 2θ/deg, intensity
3.048, 29.3, 100
2.673, 33.5, 22
2.546, 35.2, 59
1.903, 47.8, 26
1.713, 53.5, 15
1.614, 57.1, 15
1.550, 59.6, 24
1.524, 60.8, 12
1.442, 64.6, 8
1.273, 74.5, 6
1.231, 77.6, 12
1.190, 80.8, 11

---

# Ag2ClO
Computed X-ray diffraction stick pattern, λ = 1.5418 Å (Cu Kα). Input: a PBE-relaxed structure.

Structure:
Cell lengths 3.587, 3.587, 18.282 Å; angles 90.00, 90.00, 120.00 degrees
Positions (direct):
Ag (0.000, 0.000, 0.233)
Ag (0.000, 0.000, 0.767)
Ag (0.333, 0.667, 0.434)
Ag (0.333, 0.667, 0.899)
Ag (0.667, 0.333, 0.101)
Ag (0.667, 0.333, 0.566)
Cl (0.000, 0.000, 0.000)
Cl (0.333, 0.667, 0.667)
Cl (0.667, 0.333, 0.333)
O (0.000, 0.000, 0.500)
O (0.333, 0.667, 0.167)
O (0.667, 0.333, 0.833)

Peak list (12 most intense, 2θ = 10–90°, by angle)
d/Å, 2θ/deg, intensity
6.094, 14.5, 11
3.047, 29.3, 13
2.941, 30.4, 61
2.569, 34.9, 100
2.367, 38.0, 22
1.999, 45.4, 13
1.841, 49.5, 20
1.793, 50.9, 37
1.546, 59.8, 11
1.470, 63.2, 16
1.344, 70.0, 15
1.137, 85.4, 13

---

# LiMg4AgPd2
Computed X-ray diffraction stick pattern, λ = 1.5418 Å (Cu Kα). Input: a PBE-relaxed structure.

Structure:
Cell lengths 7.917, 7.917, 7.917 Å; angles 33.80, 33.80, 33.80 degrees
Positions (direct):
Li (0.000, 0.000, 0.000)
Mg (0.125, 0.125, 0.125)
Mg (0.375, 0.375, 0.375)
Mg (0.625, 0.625, 0.625)
Mg (0.875, 0.875, 0.875)
Ag (0.500, 0.500, 0.500)
Pd (0.251, 0.251, 0.251)
Pd (0.749, 0.749, 0.749)

Peak list (12 most intense, 2θ = 10–90°, by angle)
d/Å, 2θ/deg, intensity
7.458, 11.9, 34
3.925, 22.7, 26
3.755, 23.7, 20
3.246, 27.5, 73
2.977, 30.0, 14
2.302, 39.1, 100
2.290, 39.4, 98
1.878, 48.5, 15
1.623, 56.7, 33
1.329, 70.9, 16
1.327, 71.1, 32
1.320, 71.5, 16

---

# Tl3Pb
Computed X-ray diffraction stick pattern, λ = 1.5418 Å (Cu Kα). Input: a PBE-relaxed structure.

Structure:
Cell lengths 3.599, 3.599, 11.077 Å; angles 90.00, 90.00, 120.00 degrees
Positions (direct):
Tl (0.000, 0.000, 0.000)
Tl (0.667, 0.333, 0.248)
Tl (0.667, 0.333, 0.752)
Pb (0.000, 0.000, 0.500)

Peak list (12 most intense, 2θ = 10–90°, by angle)
d/Å, 2θ/deg, intensity
3.117, 28.6, 24
2.769, 32.3, 23
2.716, 33.0, 100
2.070, 43.7, 16
1.799, 50.7, 20
1.588, 58.1, 20
1.509, 61.5, 23
1.500, 61.9, 17
1.358, 69.2, 4
1.191, 80.7, 8
1.152, 84.0, 15
1.097, 89.3, 9

---

# KH2Cl8
Computed X-ray diffraction stick pattern, λ = 1.5418 Å (Cu Kα). Input: a PBE-relaxed structure.

Structure:
Cell lengths 4.867, 6.971, 11.125 Å; angles 91.95, 99.73, 91.24 degrees
Positions (direct):
K (0.000, 0.000, 0.000)
H (0.136, 0.793, 0.680)
H (0.864, 0.207, 0.320)
Cl (0.066, 0.236, 0.415)
Cl (0.321, 0.553, 0.287)
Cl (0.423, 0.829, 0.239)
Cl (0.433, 0.846, 0.841)
Cl (0.567, 0.154, 0.159)
Cl (0.577, 0.171, 0.761)
Cl (0.679, 0.447, 0.713)
Cl (0.934, 0.764, 0.585)

Peak list (12 most intense, 2θ = 10–90°, by angle)
d/Å, 2θ/deg, intensity
6.965, 12.7, 27
5.982, 14.8, 39
5.778, 15.3, 30
5.478, 16.2, 46
4.142, 21.5, 47
3.957, 22.5, 29
3.911, 22.7, 52
3.433, 26.0, 100
3.338, 26.7, 99
3.184, 28.0, 58
2.287, 39.4, 41
2.168, 41.7, 27

---

# ZrNpTcPd
Computed X-ray diffraction stick pattern, λ = 1.5418 Å (Cu Kα). Input: a PBE-relaxed structure.

Structure:
Cell lengths 6.743, 6.743, 6.743 Å; angles 90.00, 90.00, 90.00 degrees
Positions (direct):
Zr (0.000, 0.000, 0.000)
Zr (0.000, 0.500, 0.500)
Zr (0.500, 0.000, 0.500)
Zr (0.500, 0.500, 0.000)
Np (0.000, 0.000, 0.500)
Np (0.000, 0.500, 0.000)
Np (0.500, 0.000, 0.000)
Np (0.500, 0.500, 0.500)
Tc (0.250, 0.250, 0.750)
Tc (0.250, 0.750, 0.250)
Tc (0.750, 0.250, 0.250)
Tc (0.750, 0.750, 0.750)
Pd (0.250, 0.250, 0.250)
Pd (0.250, 0.750, 0.750)
Pd (0.750, 0.250, 0.750)
Pd (0.750, 0.750, 0.250)

Peak list (12 most intense, 2θ = 10–90°, by angle)
d/Å, 2θ/deg, intensity
3.893, 22.8, 15
3.372, 26.4, 6
2.384, 37.7, 100
2.033, 44.6, 9
1.947, 46.7, 2
1.686, 54.4, 17
1.547, 59.8, 4
1.508, 61.5, 2
1.376, 68.1, 35
1.298, 72.9, 3
1.192, 80.6, 11
1.140, 85.1, 3

---

# LaPm3SmEr
Computed X-ray diffraction stick pattern, λ = 1.5418 Å (Cu Kα). Input: a PBE-relaxed structure.

Structure:
Cell lengths 8.124, 5.166, 10.295 Å; angles 90.00, 108.45, 90.00 degrees
Positions (direct):
La (0.168, 0.250, 0.291)
La (0.832, 0.750, 0.709)
Pm (0.169, 0.750, 0.544)
Pm (0.171, 0.250, 0.794)
Pm (0.171, 0.750, 0.041)
Pm (0.829, 0.250, 0.959)
Pm (0.829, 0.750, 0.206)
Pm (0.831, 0.250, 0.456)
Sm (0.499, 0.250, 0.627)
Sm (0.501, 0.750, 0.373)
Er (0.497, 0.750, 0.877)
Er (0.503, 0.250, 0.123)

Peak list (12 most intense, 2θ = 10–90°, by angle)
d/Å, 2θ/deg, intensity
2.974, 30.1, 100
2.583, 34.7, 17
2.571, 34.9, 34
1.822, 50.1, 24
1.818, 50.2, 12
1.556, 59.4, 15
1.552, 59.6, 21
1.550, 59.7, 7
1.487, 62.5, 12
1.182, 81.4, 12
1.180, 81.6, 6
1.154, 83.8, 6

---

# La8CoGe3Cl4
Computed X-ray diffraction stick pattern, λ = 1.5418 Å (Cu Kα). Input: a PBE-relaxed structure.

Structure:
Cell lengths 8.595, 8.595, 8.596 Å; angles 119.05, 119.05, 60.36 degrees
Positions (direct):
La (0.224, 0.766, 0.775)
La (0.234, 0.776, 0.225)
La (0.247, 0.247, 0.256)
La (0.254, 0.254, 0.747)
La (0.746, 0.746, 0.253)
La (0.753, 0.753, 0.744)
La (0.766, 0.224, 0.775)
La (0.776, 0.234, 0.225)
Co (0.000, 0.000, 0.000)
Ge (0.000, 0.500, 0.500)
Ge (0.500, 0.000, 0.500)
Ge (0.500, 0.500, 0.000)
Cl (0.000, 0.000, 0.500)
Cl (0.000, 0.500, 0.000)
Cl (0.500, 0.000, 0.000)
Cl (0.500, 0.500, 0.500)

Peak list (12 most intense, 2θ = 10–90°, by angle)
d/Å, 2θ/deg, intensity
6.978, 12.7, 14
3.556, 25.0, 13
3.535, 25.2, 27
3.489, 25.5, 12
3.074, 29.1, 55
3.047, 29.3, 100
2.180, 41.4, 40
2.160, 41.8, 18
2.148, 42.1, 51
1.767, 51.7, 19
1.365, 68.8, 14
1.252, 76.0, 10

---

# CsCaBr3
Computed X-ray diffraction stick pattern, λ = 1.5418 Å (Cu Kα). Input: a PBE-relaxed structure.

Structure:
Cell lengths 9.167, 9.167, 9.167 Å; angles 50.68, 50.68, 50.68 degrees
Positions (direct):
Cs (0.137, 0.137, 0.137)
Cs (0.863, 0.863, 0.863)
Ca (0.336, 0.336, 0.336)
Ca (0.664, 0.664, 0.664)
Br (0.066, 0.666, 0.487)
Br (0.334, 0.513, 0.934)
Br (0.487, 0.066, 0.666)
Br (0.513, 0.934, 0.334)
Br (0.666, 0.487, 0.066)
Br (0.934, 0.334, 0.513)

Peak list (12 most intense, 2θ = 10–90°, by angle)
d/Å, 2θ/deg, intensity
5.908, 15.0, 34
4.488, 19.8, 45
3.520, 25.3, 100
3.364, 26.5, 53
3.052, 29.3, 25
2.954, 30.3, 35
2.796, 32.0, 68
2.770, 32.3, 23
2.360, 38.1, 35
2.265, 39.8, 43
2.200, 41.0, 26
1.594, 57.8, 21

---

# Nd6YTh3
Computed X-ray diffraction stick pattern, λ = 1.5418 Å (Cu Kα). Input: a PBE-relaxed structure.

Structure:
Cell lengths 13.529, 3.539, 14.442 Å; angles 90.00, 95.02, 90.00 degrees
Positions (direct):
Nd (0.033, 0.250, 0.200)
Nd (0.057, 0.250, 0.601)
Nd (0.207, 0.250, 0.813)
Nd (0.276, 0.750, 0.214)
Nd (0.381, 0.750, 0.982)
Nd (0.429, 0.250, 0.399)
Nd (0.571, 0.750, 0.601)
Nd (0.619, 0.250, 0.018)
Nd (0.724, 0.250, 0.786)
Nd (0.793, 0.750, 0.187)
Nd (0.943, 0.750, 0.399)
Nd (0.967, 0.750, 0.800)
Y (0.310, 0.750, 0.610)
Y (0.690, 0.250, 0.390)
Th (0.116, 0.750, 0.010)
Th (0.182, 0.250, 0.411)
Th (0.466, 0.250, 0.788)
Th (0.534, 0.750, 0.212)
Th (0.818, 0.750, 0.589)
Th (0.884, 0.250, 0.990)

Peak list (12 most intense, 2θ = 10–90°, by angle)
d/Å, 2θ/deg, intensity
3.347, 26.6, 22
3.118, 28.6, 13
2.953, 30.3, 57
2.878, 31.1, 100
2.758, 32.5, 42
2.642, 33.9, 28
2.453, 36.6, 14
1.769, 51.7, 16
1.691, 54.3, 28
1.518, 61.0, 16
1.508, 61.5, 23
1.507, 61.5, 15

---

# KMg2Si
Computed X-ray diffraction stick pattern, λ = 1.5418 Å (Cu Kα). Input: a PBE-relaxed structure.

Structure:
Cell lengths 3.117, 4.195, 8.184 Å; angles 90.00, 90.00, 90.00 degrees
Positions (direct):
K (0.000, 0.000, 0.000)
Mg (0.000, 0.000, 0.576)
Mg (0.500, 0.500, 0.356)
Si (0.500, 0.500, 0.702)

Peak list (12 most intense, 2θ = 10–90°, by angle)
d/Å, 2θ/deg, intensity
8.184, 10.8, 32
3.733, 23.8, 39
2.929, 30.5, 89
2.913, 30.7, 20
2.728, 32.8, 31
2.502, 35.9, 100
2.480, 36.2, 54
2.287, 39.4, 16
2.098, 43.1, 29
1.844, 49.4, 35
1.601, 57.6, 26
1.376, 68.2, 15

---

# Ho3NiI3
Computed X-ray diffraction stick pattern, λ = 1.5418 Å (Cu Kα). Input: a PBE-relaxed structure.

Structure:
Cell lengths 8.976, 4.064, 12.177 Å; angles 90.00, 92.51, 90.00 degrees
Positions (direct):
Ho (0.106, 0.250, 0.383)
Ho (0.108, 0.250, 0.827)
Ho (0.287, 0.750, 0.613)
Ho (0.713, 0.250, 0.387)
Ho (0.892, 0.750, 0.173)
Ho (0.894, 0.750, 0.617)
Ni (0.093, 0.250, 0.611)
Ni (0.907, 0.750, 0.389)
I (0.141, 0.250, 0.111)
I (0.369, 0.750, 0.871)
I (0.399, 0.750, 0.367)
I (0.601, 0.250, 0.633)
I (0.631, 0.250, 0.129)
I (0.859, 0.750, 0.889)

Peak list (12 most intense, 2θ = 10–90°, by angle)
d/Å, 2θ/deg, intensity
3.137, 28.5, 13
3.041, 29.4, 49
3.011, 29.7, 100
2.871, 31.2, 18
2.730, 32.8, 14
2.637, 34.0, 12
2.242, 40.2, 11
2.172, 41.6, 34
2.109, 42.9, 22
2.032, 44.6, 21
1.690, 54.3, 17
1.599, 57.6, 14